Simulated powder diffractogram
Compound: Pm7SmTl5
Radiation: Cu Kα X-rays
Structure: a DFT-relaxed cell (GGA-PBE, Alexandria)
Kinematic intensities with the Lorentz-polarization factor, no thermal factor.

Atomic structure:
```
data_Pm7SmTl5
_space_group_name_H-M_alt 'I m m 2'
_space_group_IT_number 44
_space_group_name_Hall 'I 2 -2'
_cell_length_a 6.7432
_cell_length_b 10.8662
_cell_length_c 11.1570
_cell_angle_alpha 90.00
_cell_angle_beta 90.00
_cell_angle_gamma 90.00
loop_
_atom_site_label
_atom_site_type_symbol
_atom_site_fract_x
_atom_site_fract_y
_atom_site_fract_z
_atom_site_occupancy
Pm1 Pm 0.0000 0.0000 0.0000 1
Pm2 Pm 0.0000 0.0000 0.3279 1
Pm3 Pm 0.0000 0.3104 0.1174 1
Pm4 Pm 0.0000 0.3367 0.6334 1
Pm5 Pm 0.0000 0.5000 0.3580 1
Sm1 Sm 0.0000 0.0000 0.6656 1
Tl1 Tl 0.0000 0.5000 0.8895 1
Tl2 Tl 0.2458 0.2401 0.8738 1
```

Principal peaks in the range 2θ from 5° to 70°, by intensity:
(hkl)	two_theta	I (rel.)
2 2 2	35.2	100
0 0 4	32.1	60
1 3 2	32.3	48
2 2 0	31.2	48
2 0 2	31.0	36
0 4 2	36.8	32
0 4 0	33.0	27
0 0 2	15.9	23
2 6 0	57.8	23
2 2 6	59.2	22